Entry 1:
# Li3Fe4B4O12
Computed X-ray diffraction stick pattern, a wavelength of 1.5418 Å. Input: DFT lattice parameters and positions (PBE+U).
Intensities are scaled so that the largest is 100.

Cell and atoms:
```
data_Li3Fe4B4O12
_space_group_name_H-M_alt 'P 1'
_space_group_IT_number 1
_cell_length_a 5.245
_cell_length_b 9.012
_cell_length_c 11.395
_cell_angle_alpha 67.33
_cell_angle_beta 77.23
_cell_angle_gamma 89.67
loop_
_space_group_symop_operation_xyz
'x,y,z'
loop_
_atom_site_label
_atom_site_type_symbol
_atom_site_fract_x
_atom_site_fract_y
_atom_site_fract_z
Li1 Li 0.000 0.000 0.000
Li2 Li 0.033 0.037 0.256
Li3 Li 0.263 0.239 0.512
Li4 Li 0.523 0.531 0.260
Li5 Li 0.764 0.738 0.508
Li6 Li 0.809 0.767 0.763
Fe1 Fe 0.030 0.346 0.977
Fe2 Fe 0.048 0.709 0.228
Fe3 Fe 0.279 0.924 0.477
Fe4 Fe 0.328 0.613 0.731
Fe5 Fe 0.518 0.823 0.985
Fe6 Fe 0.547 0.220 0.220
Fe7 Fe 0.766 0.427 0.478
Fe8 Fe 0.799 0.126 0.729
B1 B 0.027 0.677 0.971
B2 B 0.054 0.383 0.225
B3 B 0.273 0.591 0.472
B4 B 0.303 0.959 0.723
B5 B 0.528 0.171 0.973
B6 B 0.560 0.884 0.223
B7 B 0.767 0.087 0.478
B8 B 0.827 0.463 0.727
O1 O 0.029 0.619 0.441
O2 O 0.039 0.433 0.784
O3 O 0.128 0.786 0.012
O4 O 0.163 0.090 0.721
O5 O 0.180 0.558 0.948
O6 O 0.198 0.840 0.694
O7 O 0.263 0.175 0.981
O8 O 0.308 0.383 0.234
O9 O 0.386 0.693 0.515
O10 O 0.398 0.986 0.264
O11 O 0.399 0.461 0.459
O12 O 0.452 0.765 0.193
O13 O 0.523 0.115 0.448
O14 O 0.551 0.947 0.752
O15 O 0.660 0.266 0.015
O16 O 0.675 0.065 0.927
O17 O 0.714 0.607 0.704
O18 O 0.735 0.350 0.687
O19 O 0.781 0.685 0.950
O20 O 0.828 0.903 0.208
O21 O 0.877 0.190 0.525
O22 O 0.888 0.487 0.262
O23 O 0.900 0.964 0.458
O24 O 0.954 0.274 0.181
```

The 10 most intense peaks (10 to 90 degrees two-theta), low angle first:
2θ/deg  d [Å]  I_rel
19.6  4.527  72.1
21.5  4.131  87.9
21.7  4.103  39.7
26.2  3.400  31.8
26.5  3.362  38.9
34.2  2.622  34.4
34.3  2.613  27.0
34.5  2.600  32.1
35.1  2.554  100.0
40.9  2.207  52.7



Entry 2:
# NaFe3H6S2O14
Computed X-ray diffraction stick pattern, a wavelength of 1.5418 Å. Input: DFT lattice parameters and positions (PBE+U).
Intensities are scaled so that the largest is 100.

Cell and atoms:
```
data_NaFe3H6S2O14
_space_group_name_H-M_alt 'P 1'
_space_group_IT_number 1
_cell_length_a 7.020
_cell_length_b 7.020
_cell_length_c 7.020
_cell_angle_alpha 65.07
_cell_angle_beta 65.07
_cell_angle_gamma 65.07
loop_
_space_group_symop_operation_xyz
'x,y,z'
loop_
_atom_site_label
_atom_site_type_symbol
_atom_site_fract_x
_atom_site_fract_y
_atom_site_fract_z
Na1 Na 0.000 0.000 0.000
Fe1 Fe 0.000 0.000 0.500
Fe2 Fe 0.000 0.500 0.000
Fe3 Fe 0.500 0.000 0.000
H1 H 0.197 0.630 0.630
H2 H 0.370 0.370 0.803
H3 H 0.370 0.803 0.370
H4 H 0.630 0.197 0.630
H5 H 0.630 0.630 0.197
H6 H 0.803 0.370 0.370
S1 S 0.316 0.316 0.316
S2 S 0.684 0.684 0.684
O1 O 0.114 0.726 0.726
O2 O 0.176 0.176 0.502
O3 O 0.176 0.502 0.176
O4 O 0.274 0.274 0.886
O5 O 0.274 0.886 0.274
O6 O 0.404 0.404 0.404
O7 O 0.498 0.824 0.824
O8 O 0.502 0.176 0.176
O9 O 0.596 0.596 0.596
O10 O 0.726 0.114 0.726
O11 O 0.726 0.726 0.114
O12 O 0.824 0.498 0.824
O13 O 0.824 0.824 0.498
O14 O 0.886 0.274 0.274
```

The 10 most intense peaks (10 to 90 degrees two-theta), low angle first:
2θ/deg  d [Å]  I_rel
16.1  5.502  33.1
17.3  5.126  75.2
27.8  3.208  82.9
28.7  3.113  100.0
32.5  2.751  28.4
40.7  2.218  26.9
44.7  2.027  32.2
48.2  1.888  39.9
59.4  1.557  23.4
63.1  1.474  16.4